(1)
This entry pairs a crystal structure of CaCrNiP2O9 with its theoretical powder XRD pattern. Radiation: Cu Ka. Structure: a structure optimized by DFT (GGA+U).

Principal peaks in the range 2θ from 10° to 90°, sorted by position:
2θ 13.35, rel. 31; 2θ 17.22, rel. 37; 2θ 24.52, rel. 100; 2θ 27.62, rel. 29; 2θ 27.87, rel. 31; 2θ 30.42, rel. 26; 2θ 30.79, rel. 48; 2θ 33.84, rel. 33; 2θ 35.75, rel. 23; 2θ 56.75, rel. 36

Cell and atoms:
```
CaCrNiP2O9
1.0
14.155 0.000 0.000
0.000 6.460 0.000
0.000 0.000 7.511
Ca Cr Ni P O
4 4 4 8 36
direct
0.221 0.250 0.127
0.279 0.750 0.627
0.721 0.250 0.373
0.779 0.750 0.873
0.115 0.250 0.655
0.385 0.750 0.155
0.615 0.250 0.845
0.885 0.750 0.345
0.000 0.000 0.000
0.000 0.500 0.000
0.500 0.000 0.500
0.500 0.500 0.500
0.060 0.750 0.651
0.196 0.750 0.105
0.304 0.250 0.605
0.440 0.250 0.151
0.560 0.750 0.849
0.696 0.750 0.395
0.804 0.250 0.895
0.940 0.250 0.349
0.009 0.750 0.833
0.015 0.250 0.494
0.055 0.250 0.853
0.128 0.562 0.636
0.128 0.938 0.636
0.135 0.552 0.099
0.135 0.948 0.099
0.225 0.250 0.458
0.241 0.250 0.778
0.259 0.750 0.278
0.275 0.750 0.958
0.365 0.052 0.599
0.365 0.448 0.599
0.372 0.062 0.136
0.372 0.438 0.136
0.445 0.750 0.353
0.485 0.750 0.994
0.491 0.250 0.333
0.509 0.750 0.667
0.515 0.250 0.006
0.555 0.250 0.647
0.628 0.562 0.864
0.628 0.938 0.864
0.635 0.552 0.401
0.635 0.948 0.401
0.725 0.250 0.042
0.741 0.250 0.722
0.759 0.750 0.222
0.775 0.750 0.542
0.865 0.052 0.901
0.865 0.448 0.901
0.872 0.062 0.364
0.872 0.438 0.364
0.945 0.750 0.147
0.985 0.750 0.506
0.991 0.250 0.167
```


(2)
This entry pairs a crystal structure of Ca5Cr3O13 with its theoretical powder XRD pattern. Radiation: Cu Ka. Structure: a structure optimized by DFT (GGA+U).

Principal peaks in the range 2θ from 10° to 90°, sorted by position:
2θ 25.61, rel. 100; 2θ 29.91, rel. 69; 2θ 30.10, rel. 79; 2θ 30.41, rel. 63; 2θ 30.63, rel. 96; 2θ 30.73, rel. 35; 2θ 31.24, rel. 54; 2θ 31.56, rel. 61; 2θ 32.89, rel. 41; 2θ 52.63, rel. 70

Cell and atoms:
```
Ca5Cr3O13
1.0
9.795 0.000 0.000
0.000 6.958 0.000
-4.793 0.000 8.750
Ca Cr O
10 6 26
direct
0.005 0.250 0.230
0.213 0.250 0.982
0.215 0.750 0.196
0.324 0.501 0.676
0.324 0.999 0.676
0.676 0.001 0.324
0.676 0.499 0.324
0.785 0.250 0.804
0.787 0.750 0.018
0.995 0.750 0.770
0.026 0.250 0.620
0.376 0.250 0.407
0.410 0.750 0.032
0.590 0.250 0.968
0.624 0.750 0.593
0.974 0.750 0.380
0.005 0.250 0.011
0.086 0.056 0.742
0.086 0.444 0.742
0.140 0.250 0.529
0.167 0.750 0.513
0.262 0.058 0.341
0.262 0.442 0.341
0.327 0.750 0.837
0.347 0.552 0.092
0.347 0.948 0.092
0.389 0.250 0.862
0.464 0.250 0.599
0.492 0.750 0.653
0.508 0.250 0.347
0.536 0.750 0.401
0.611 0.750 0.138
0.653 0.052 0.908
0.653 0.448 0.908
0.673 0.250 0.163
0.738 0.558 0.659
0.738 0.942 0.659
0.833 0.250 0.487
0.860 0.750 0.471
0.914 0.556 0.258
0.914 0.944 0.258
0.995 0.750 0.989
```


(3)
This entry pairs a crystal structure of Ca2CrO5 with its theoretical powder XRD pattern. Radiation: Cu Ka. Structure: a structure optimized by DFT (GGA+U).

Principal peaks in the range 2θ from 10° to 90°, sorted by position:
2θ 11.45, rel. 76; 2θ 17.14, rel. 27; 2θ 25.36, rel. 100; 2θ 31.58, rel. 18; 2θ 32.45, rel. 94; 2θ 36.85, rel. 16; 2θ 46.04, rel. 27; 2θ 47.73, rel. 22; 2θ 48.47, rel. 17; 2θ 56.80, rel. 20

Cell and atoms:
```
Ca2CrO5
1.0
-7.727 2.745 2.833
7.727 -2.745 2.833
7.727 2.745 -2.833
Ca Cr O
4 2 10
direct
0.059 0.146 0.204
0.059 0.354 0.413
0.941 0.646 0.587
0.941 0.854 0.796
0.500 0.000 0.500
0.500 0.500 0.000
0.011 0.002 0.508
0.122 0.259 0.758
0.122 0.865 0.364
0.487 0.042 0.272
0.487 0.715 0.946
0.494 0.502 0.492
0.501 0.365 0.242
0.501 0.759 0.636
0.770 0.215 0.728
0.770 0.542 0.054
```